1.
For Pu2MgZn16, DFT lattice parameters and positions (GGA-PBE) gives the calculated powder diffraction line list in this record (copper Kα).

The 8 most intense peaks (2θ = 10–90°), in order of rising 2θ:
- 28.15°, 3.170 Å, I 46
- 34.30°, 2.614 Å, I 39
- 35.36°, 2.538 Å, I 25
- 39.81°, 2.264 Å, I 53
- 40.02°, 2.253 Å, I 100
- 40.64°, 2.220 Å, I 31
- 58.22°, 1.585 Å, I 27
- 72.28°, 1.307 Å, I 22

Crystal structure
```
data_Pu2MgZn16
_chemical_formula_sum 'Pu2 Mg1 Zn16'
_space_group_name_H-M_alt 'P 1'
_space_group_IT_number 1
_space_group_name_Hall 'P 1'
_cell_length_a 6.860
_cell_length_b 6.860
_cell_length_c 6.860
_cell_angle_alpha 82.62
_cell_angle_beta 82.62
_cell_angle_gamma 82.62
loop_
_atom_site_label
_atom_site_type_symbol
_atom_site_fract_x
_atom_site_fract_y
_atom_site_fract_z
Pu1 Pu 0.000 0.000 0.000
Pu2 Pu 0.321 0.321 0.321
Mg1 Mg 0.566 0.566 0.566
Zn1 Zn 0.014 0.014 0.498
Zn2 Zn 0.014 0.498 0.014
Zn3 Zn 0.157 0.661 0.661
Zn4 Zn 0.306 0.306 0.818
Zn5 Zn 0.306 0.818 0.306
Zn6 Zn 0.362 0.660 0.958
Zn7 Zn 0.362 0.958 0.660
Zn8 Zn 0.498 0.014 0.014
Zn9 Zn 0.660 0.362 0.958
Zn10 Zn 0.660 0.958 0.362
Zn11 Zn 0.661 0.157 0.661
Zn12 Zn 0.661 0.661 0.157
Zn13 Zn 0.772 0.772 0.772
Zn14 Zn 0.818 0.306 0.306
Zn15 Zn 0.958 0.362 0.660
Zn16 Zn 0.958 0.660 0.362
```

***

2.
For PuMgZn10, DFT lattice parameters and positions (GGA-PBE) gives the calculated powder diffraction line list in this record (copper Kα).

The 8 most intense peaks (2θ = 10–90°), in order of rising 2θ:
- 17.11°, 5.182 Å, I 16
- 28.64°, 3.117 Å, I 28
- 33.27°, 2.693 Å, I 20
- 33.81°, 2.651 Å, I 20
- 39.92°, 2.258 Å, I 100
- 40.65°, 2.220 Å, I 37
- 41.99°, 2.151 Å, I 34
- 65.64°, 1.422 Å, I 23

Crystal structure
```
data_PuMgZn10
_chemical_formula_sum 'Pu1 Mg1 Zn10'
_space_group_name_H-M_alt 'P 1'
_space_group_IT_number 1
_space_group_name_Hall 'P 1'
_cell_length_a 4.303
_cell_length_b 5.182
_cell_length_c 9.258
_cell_angle_alpha 90.00
_cell_angle_beta 90.00
_cell_angle_gamma 90.00
loop_
_atom_site_label
_atom_site_type_symbol
_atom_site_fract_x
_atom_site_fract_y
_atom_site_fract_z
Pu1 Pu 0.000 0.000 0.000
Mg1 Mg 0.000 0.500 0.500
Zn1 Zn 0.000 0.000 0.345
Zn2 Zn 0.000 0.000 0.655
Zn3 Zn 0.000 0.500 0.186
Zn4 Zn 0.000 0.500 0.814
Zn5 Zn 0.500 0.000 0.500
Zn6 Zn 0.500 0.242 0.240
Zn7 Zn 0.500 0.242 0.760
Zn8 Zn 0.500 0.500 0.000
Zn9 Zn 0.500 0.758 0.240
Zn10 Zn 0.500 0.758 0.760
```

***

3.
For Pu2MgZn, DFT lattice parameters and positions (GGA-PBE) gives the calculated powder diffraction line list in this record (copper Kα).

The 8 most intense peaks (2θ = 10–90°), in order of rising 2θ:
- 15.32°, 5.785 Å, I 100
- 30.92°, 2.892 Å, I 36
- 34.87°, 2.573 Å, I 43
- 35.16°, 2.552 Å, I 29
- 37.17°, 2.419 Å, I 77
- 39.36°, 2.289 Å, I 29
- 43.71°, 2.071 Å, I 51
- 45.41°, 1.997 Å, I 31

Crystal structure
```
data_Pu2MgZn
_chemical_formula_sum 'Pu6 Mg3 Zn3'
_space_group_name_H-M_alt 'P 1'
_space_group_IT_number 1
_space_group_name_Hall 'P 1'
_cell_length_a 2.979
_cell_length_b 2.979
_cell_length_c 34.709
_cell_angle_alpha 90.00
_cell_angle_beta 90.00
_cell_angle_gamma 120.00
loop_
_atom_site_label
_atom_site_type_symbol
_atom_site_fract_x
_atom_site_fract_y
_atom_site_fract_z
Pu1 Pu 0.000 0.000 0.092
Pu2 Pu 0.000 0.000 0.908
Pu3 Pu 0.333 0.667 0.574
Pu4 Pu 0.333 0.667 0.759
Pu5 Pu 0.667 0.333 0.241
Pu6 Pu 0.667 0.333 0.426
Mg1 Mg 0.000 0.000 0.000
Mg2 Mg 0.333 0.667 0.667
Mg3 Mg 0.667 0.333 0.333
Zn1 Zn 0.000 0.000 0.500
Zn2 Zn 0.333 0.667 0.167
Zn3 Zn 0.667 0.333 0.833
```

***

4.
For Rb3Mg, DFT lattice parameters and positions (GGA-PBE) gives the calculated powder diffraction line list in this record (copper Kα).

The 8 most intense peaks (2θ = 10–90°), in order of rising 2θ:
- 18.60°, 4.771 Å, I 15
- 21.77°, 4.083 Å, I 32
- 24.07°, 3.697 Å, I 16
- 24.43°, 3.644 Å, I 30
- 24.62°, 3.616 Å, I 100
- 35.18°, 2.551 Å, I 14
- 43.11°, 2.098 Å, I 21
- 43.30°, 2.090 Å, I 16

Crystal structure
```
data_Rb3Mg
_chemical_formula_sum 'Rb6 Mg2'
_space_group_name_H-M_alt 'P 1'
_space_group_IT_number 1
_space_group_name_Hall 'P 1'
_cell_length_a 5.040
_cell_length_b 14.787
_cell_length_c 7.288
_cell_angle_alpha 90.00
_cell_angle_beta 90.00
_cell_angle_gamma 90.00
loop_
_atom_site_label
_atom_site_type_symbol
_atom_site_fract_x
_atom_site_fract_y
_atom_site_fract_z
Rb1 Rb 0.000 0.000 0.000
Rb2 Rb 0.000 0.209 0.510
Rb3 Rb 0.000 0.791 0.510
Rb4 Rb 0.500 0.291 0.010
Rb5 Rb 0.500 0.500 0.500
Rb6 Rb 0.500 0.709 0.010
Mg1 Mg 0.000 0.500 0.987
Mg2 Mg 0.500 0.000 0.487
```

***

5.
For Rb5Mg3, DFT lattice parameters and positions (GGA-PBE) gives the calculated powder diffraction line list in this record (copper Kα).

The 8 most intense peaks (2θ = 10–90°), in order of rising 2θ:
- 18.87°, 4.704 Å, I 37
- 23.20°, 3.834 Å, I 49
- 24.19°, 3.679 Å, I 32
- 25.83°, 3.449 Å, I 100
- 26.36°, 3.381 Å, I 49
- 27.24°, 3.274 Å, I 88
- 41.62°, 2.170 Å, I 27
- 42.36°, 2.134 Å, I 35

Crystal structure
```
data_Rb5Mg3
_chemical_formula_sum 'Rb10 Mg6'
_space_group_name_H-M_alt 'P 1'
_space_group_IT_number 1
_space_group_name_Hall 'P 1'
_cell_length_a 11.713
_cell_length_b 11.713
_cell_length_c 7.896
_cell_angle_alpha 90.00
_cell_angle_beta 90.00
_cell_angle_gamma 120.00
loop_
_atom_site_label
_atom_site_type_symbol
_atom_site_fract_x
_atom_site_fract_y
_atom_site_fract_z
Rb1 Rb 0.000 0.252 0.250
Rb2 Rb 0.000 0.748 0.750
Rb3 Rb 0.252 0.000 0.250
Rb4 Rb 0.252 0.252 0.750
Rb5 Rb 0.333 0.667 0.000
Rb6 Rb 0.333 0.667 0.500
Rb7 Rb 0.667 0.333 0.000
Rb8 Rb 0.667 0.333 0.500
Rb9 Rb 0.748 0.000 0.750
Rb10 Rb 0.748 0.748 0.250
Mg1 Mg 0.000 0.411 0.750
Mg2 Mg 0.000 0.589 0.250
Mg3 Mg 0.411 0.000 0.750
Mg4 Mg 0.411 0.411 0.250
Mg5 Mg 0.589 0.000 0.250
Mg6 Mg 0.589 0.589 0.750
```

***

6.
For Rb2Mg, DFT lattice parameters and positions (GGA-PBE) gives the calculated powder diffraction line list in this record (copper Kα).

The 8 most intense peaks (2θ = 10–90°), in order of rising 2θ:
- 18.66°, 4.756 Å, I 29
- 20.30°, 4.375 Å, I 83
- 20.74°, 4.283 Å, I 30
- 22.44°, 3.962 Å, I 20
- 24.21°, 3.676 Å, I 100
- 29.23°, 3.055 Å, I 30
- 34.18°, 2.623 Å, I 41
- 51.79°, 1.765 Å, I 20

Crystal structure
```
data_Rb2Mg
_chemical_formula_sum 'Rb4 Mg2'
_space_group_name_H-M_alt 'P 1'
_space_group_IT_number 1
_space_group_name_Hall 'P 1'
_cell_length_a 9.512
_cell_length_b 9.855
_cell_length_c 4.358
_cell_angle_alpha 90.00
_cell_angle_beta 90.00
_cell_angle_gamma 90.00
loop_
_atom_site_label
_atom_site_type_symbol
_atom_site_fract_x
_atom_site_fract_y
_atom_site_fract_z
Rb1 Rb 0.198 0.163 0.000
Rb2 Rb 0.302 0.663 0.500
Rb3 Rb 0.698 0.337 0.500
Rb4 Rb 0.802 0.837 0.000
Mg1 Mg 0.000 0.500 0.000
Mg2 Mg 0.500 0.000 0.500
```

***

7.
For RbMg15, DFT lattice parameters and positions (GGA-PBE) gives the calculated powder diffraction line list in this record (copper Kα).

The 8 most intense peaks (2θ = 10–90°), in order of rising 2θ:
- 31.39°, 2.850 Å, I 25
- 33.25°, 2.694 Å, I 26
- 35.64°, 2.519 Å, I 100
- 46.38°, 1.958 Å, I 16
- 55.88°, 1.645 Å, I 17
- 60.97°, 1.520 Å, I 18
- 66.60°, 1.404 Å, I 19
- 68.06°, 1.378 Å, I 14

Crystal structure
```
data_RbMg15
_chemical_formula_sum 'Rb1 Mg15'
_space_group_name_H-M_alt 'P 1'
_space_group_IT_number 1
_space_group_name_Hall 'P 1'
_cell_length_a 6.581
_cell_length_b 6.581
_cell_length_c 10.777
_cell_angle_alpha 90.00
_cell_angle_beta 90.00
_cell_angle_gamma 120.00
loop_
_atom_site_label
_atom_site_type_symbol
_atom_site_fract_x
_atom_site_fract_y
_atom_site_fract_z
Rb1 Rb 0.000 0.000 0.000
Mg1 Mg 0.000 0.000 0.500
Mg2 Mg 0.010 0.505 0.000
Mg3 Mg 0.171 0.343 0.264
Mg4 Mg 0.171 0.343 0.736
Mg5 Mg 0.171 0.829 0.264
Mg6 Mg 0.171 0.829 0.736
Mg7 Mg 0.495 0.505 0.000
Mg8 Mg 0.495 0.990 0.000
Mg9 Mg 0.502 0.005 0.500
Mg10 Mg 0.502 0.498 0.500
Mg11 Mg 0.657 0.829 0.264
Mg12 Mg 0.657 0.829 0.736
Mg13 Mg 0.667 0.333 0.241
Mg14 Mg 0.667 0.333 0.759
Mg15 Mg 0.995 0.498 0.500
```

***

8.
For RbMg2Ru, DFT lattice parameters and positions (GGA-PBE) gives the calculated powder diffraction line list in this record (copper Kα).

The 8 most intense peaks (2θ = 10–90°), in order of rising 2θ:
- 21.29°, 4.173 Å, I 17
- 23.52°, 3.783 Å, I 100
- 29.77°, 3.001 Å, I 27
- 36.89°, 2.437 Å, I 30
- 38.70°, 2.327 Å, I 27
- 48.10°, 1.892 Å, I 23
- 49.23°, 1.851 Å, I 26
- 58.90°, 1.568 Å, I 15

Crystal structure
```
data_RbMg2Ru
_chemical_formula_sum 'Rb4 Mg8 Ru4'
_space_group_name_H-M_alt 'P 1'
_space_group_IT_number 1
_space_group_name_Hall 'P 1'
_cell_length_a 6.002
_cell_length_b 6.002
_cell_length_c 16.693
_cell_angle_alpha 90.00
_cell_angle_beta 90.00
_cell_angle_gamma 90.00
loop_
_atom_site_label
_atom_site_type_symbol
_atom_site_fract_x
_atom_site_fract_y
_atom_site_fract_z
Rb1 Rb 0.000 0.250 0.375
Rb2 Rb 0.000 0.750 0.625
Rb3 Rb 0.500 0.250 0.125
Rb4 Rb 0.500 0.750 0.875
Mg1 Mg 0.000 0.000 0.000
Mg2 Mg 0.000 0.500 0.000
Mg3 Mg 0.250 0.250 0.750
Mg4 Mg 0.250 0.750 0.250
Mg5 Mg 0.500 0.000 0.500
Mg6 Mg 0.500 0.500 0.500
Mg7 Mg 0.750 0.250 0.750
Mg8 Mg 0.750 0.750 0.250
Ru1 Ru 0.000 0.250 0.875
Ru2 Ru 0.000 0.750 0.125
Ru3 Ru 0.500 0.250 0.625
Ru4 Ru 0.500 0.750 0.375
```

***

Repeat the third record exactly.
For Pu2MgZn, DFT lattice parameters and positions (GGA-PBE) gives the calculated powder diffraction line list in this record (copper Kα).

The 8 most intense peaks (2θ = 10–90°), in order of rising 2θ:
- 15.32°, 5.785 Å, I 100
- 30.92°, 2.892 Å, I 36
- 34.87°, 2.573 Å, I 43
- 35.16°, 2.552 Å, I 29
- 37.17°, 2.419 Å, I 77
- 39.36°, 2.289 Å, I 29
- 43.71°, 2.071 Å, I 51
- 45.41°, 1.997 Å, I 31

Crystal structure
```
data_Pu2MgZn
_chemical_formula_sum 'Pu6 Mg3 Zn3'
_space_group_name_H-M_alt 'P 1'
_space_group_IT_number 1
_space_group_name_Hall 'P 1'
_cell_length_a 2.979
_cell_length_b 2.979
_cell_length_c 34.709
_cell_angle_alpha 90.00
_cell_angle_beta 90.00
_cell_angle_gamma 120.00
loop_
_atom_site_label
_atom_site_type_symbol
_atom_site_fract_x
_atom_site_fract_y
_atom_site_fract_z
Pu1 Pu 0.000 0.000 0.092
Pu2 Pu 0.000 0.000 0.908
Pu3 Pu 0.333 0.667 0.574
Pu4 Pu 0.333 0.667 0.759
Pu5 Pu 0.667 0.333 0.241
Pu6 Pu 0.667 0.333 0.426
Mg1 Mg 0.000 0.000 0.000
Mg2 Mg 0.333 0.667 0.667
Mg3 Mg 0.667 0.333 0.333
Zn1 Zn 0.000 0.000 0.500
Zn2 Zn 0.333 0.667 0.167
Zn3 Zn 0.667 0.333 0.833
```